Structure and calculated PXRD pattern of YTcMo2O (a crystal structure in Alexandria, relaxed with GGA+U; Cu Kα).
Peak positions follow from Bragg's law for the DFT cell and can differ from measured ones.

Structural model:
Cell lengths 4.3884, 4.3884, 4.3181 Å; angles 90.00, 90.00, 90.00 degrees
Space group P4/mmm (No. 123)
Inequivalent atoms, fractional coordinates:
Y  0.0000  0.0000  0.0000 [1 per cell]
Tc  0.5000  0.5000  0.0000 [1 per cell]
Mo  0.0000  0.5000  0.5000 [2 per cell]
O  0.5000  0.5000  0.5000 [1 per cell]

Peak list (6 most intense, 2θ from 5° to 70°, by angle)
d 4.388, 20.2 deg, I 12, (1 0 0)
d 2.520, 35.6 deg, I 1000, (1 1 1)
d 2.194, 41.1 deg, I 392, (2 0 0)
d 2.159, 41.8 deg, I 187, (0 0 2)
d 1.552, 59.6 deg, I 126, (2 2 0)
d 1.539, 60.1 deg, I 244, (2 0 2)